This entry pairs a crystal structure of Pm7ZnSe5 with its computed X-ray powder pattern. Radiation: Cu Kα X-rays. Structure: a DFT-relaxed cell (PBE, Alexandria).
Intensities are scaled so that the largest is 100.

Structure:
Lattice parameters (Å, degrees): 13.7660 4.1355 25.0822 90.00 90.04 90.00
Space group C2/m (No. 12)
Unique sites:
Pm 0.0333 0.0000 0.2502 [4 per cell]
Pm 0.0854 0.5000 0.3905 [4 per cell]
Pm 0.0859 0.5000 0.1097 [4 per cell]
Pm 0.1380 0.0000 0.5369 [4 per cell]
Pm 0.1379 0.0000 0.9631 [4 per cell]
Pm 0.1912 0.5000 0.8216 [4 per cell]
Pm 0.1918 0.5000 0.6785 [4 per cell]
Zn 0.1970 0.5000 0.2497 [4 per cell]
Se 0.0000 0.5000 0.0000 [2 per cell]
Se 0.0000 0.5000 0.5000 [2 per cell]
Se 0.0523 0.0000 0.8564 [4 per cell]
Se 0.0527 0.0000 0.6436 [4 per cell]
Se 0.2234 0.0000 0.0717 [4 per cell]
Se 0.2233 0.0000 0.4282 [4 per cell]

Main lines, low angle first (2θ = 10–90°):
- 2θ = 28.08°, d 3.178, I 84, hkl 2 0 7
- 2θ = 29.95°, d 2.984, I 100, hkl 3 1 2
- 2θ = 31.01°, d 2.883, I 75, hkl 3 1 -3
- 2θ = 31.35°, d 2.853, I 40, hkl 2 0 8
- 2θ = 42.67°, d 2.119, I 37, hkl 1 1 -10
- 2θ = 43.78°, d 2.068, I 39, hkl 0 2 0